Diffraction record for KCoO3. The X-ray diffraction stick pattern is simulated, not measured: it uses a crystal structure in OQMD, relaxed with PBE+U and Cu Kα.
Kinematic intensities with the Lorentz-polarization factor, no thermal factor.

Cell lengths 3.6851, 3.6851, 4.5312 Å; angles 90.00, 90.00, 90.00 degrees
Sites, in units of the cell vectors:
1 K 0.0000 0.0000 0.0000
2 Co 0.5000 0.5000 0.4652
3 O 0.0000 0.5000 0.5410
4 O 0.5000 0.0000 0.5410
5 O 0.5000 0.5000 0.0854

Largest 8 diffraction maxima, in order of rising 2θ, 10° ≤ 2θ ≤ 90°:
hkl  2θ (°)  d_spacing  I (rel.)
1 0 0  24.2  3.685  17.9
1 0 1  31.3  2.859  100.0
1 1 0  34.4  2.606  35.3
0 0 2  39.8  2.266  27.4
2 0 0  49.5  1.843  34.4
1 1 2  53.6  1.709  20.5
2 1 1  59.7  1.549  28.1
2 0 2  65.3  1.430  20.2